(1)
Starting from a structure optimized by DFT (PBE), the powder diffraction line list of SrNpPa4N8 was calculated for Cu Ka.
Lines closer than 0.1° are merged.

Structure:
Unit cell a=7.0478 b=7.0478 c=16.9315 alpha=90.00 beta=90.00 gamma=120.00
Space group R3m (No. 160, hexagonal axes)
Asymmetric unit:
Sr 0.0000 0.0000 0.0000 [3 per cell]
Np 0.0000 0.0000 0.3821 [3 per cell]
Pa 0.0000 0.0000 0.6144 [3 per cell]
Pa 0.1674 0.3348 0.8326 [9 per cell]
N 0.0000 0.0000 0.2337 [3 per cell]
N 0.0000 0.0000 0.7596 [3 per cell]
N 0.0176 0.5088 0.7667 [9 per cell]
N 0.1719 0.3438 0.5703 [9 per cell]

The 10 most intense peaks (10 to 90 degrees two-theta), by intensity:
2θ (°)  I/Imax
29.7  100
29.9  79
25.6  59
30.2  57
31.2  53
51.9  45
52.6  39
47.7  34
44.7  27
15.7  23

---

(2)
Starting from a structure optimized by DFT (PBE), the powder diffraction line list of Th2NpPaN6 was calculated for Cu Ka.
Lines closer than 0.1° are merged.

Structure:
Unit cell a=6.0860 b=6.0860 c=14.7262 alpha=90.00 beta=90.00 gamma=120.00
Space group R3 (No. 146, hexagonal axes)
Asymmetric unit:
Th 0.0000 0.0000 0.0000 [3 per cell]
Th 0.0000 0.0000 0.4992 [3 per cell]
Np 0.0000 0.0000 0.7704 [3 per cell]
Pa 0.0000 0.0000 0.2683 [3 per cell]
N 0.0263 0.3989 0.0345 [9 per cell]
N 0.0341 0.6317 0.5332 [9 per cell]

The 10 most intense peaks (10 to 90 degrees two-theta), by intensity:
2θ (°)  I/Imax
29.4  100
29.6  96
52.2  43
42.2  42
52.1  25
69.1  18
52.7  17
69.5  15
60.9  14
84.3  12

---

(3)
Starting from a structure optimized by DFT (PBE), the powder diffraction line list of TmNpPa2N6 was calculated for Cu Ka.
Lines closer than 0.1° are merged.

Structure:
Unit cell a=5.9315 b=5.9315 c=14.6999 alpha=90.00 beta=90.00 gamma=120.00
Space group R3 (No. 146, hexagonal axes)
Asymmetric unit:
Tm 0.0000 0.0000 0.0000 [3 per cell]
Np 0.0000 0.0000 0.4926 [3 per cell]
Pa 0.0000 0.0000 0.2728 [3 per cell]
Pa 0.0000 0.0000 0.7757 [3 per cell]
N 0.0056 0.7248 0.3874 [9 per cell]
N 0.0441 0.3704 0.5488 [9 per cell]

The 10 most intense peaks (10 to 90 degrees two-theta), by intensity:
2θ (°)  I/Imax
30.1  100
29.9  94
53.4  41
43.0  39
53.5  25
48.2  19
71.0  17
52.9  14
62.6  14
86.9  12

---

(4)
Starting from a structure optimized by DFT (PBE), the powder diffraction line list of Pm3Np4N12 was calculated for Cu Ka.
Lines closer than 0.1° are merged.

Structure:
Unit cell a=8.2922 b=8.2922 c=8.2922 alpha=90.00 beta=90.00 gamma=90.00
Space group Im-3 (No. 204)
Asymmetric unit:
Pm 0.0000 0.0000 0.5000 [6 per cell]
Np 0.2500 0.2500 0.2500 [8 per cell]
N 0.0000 0.2974 0.2259 [24 per cell]

The 10 most intense peaks (10 to 90 degrees two-theta), by intensity:
2θ (°)  I/Imax
30.5  100
54.2  44
43.7  24
88.2  23
21.4  19
72.0  18
63.5  15
49.1  9
15.1  8
80.2  5